No. 1
Mn3B4W: computed powder XRD pattern (Cu Kα, 1.54184 Å), based on a crystal structure in the Materials Project, relaxed with PBE.
Neutral-atom scattering factors, no anomalous dispersion.

Main lines, low angle first (2θ from 15° to 90°):
index  2theta  I/Imax
0 0 1  15.7  91.7
1 0 0  20.8  51.1
1 0 -1  26.0  59.7
0 0 2  31.8  50.5
1 1 0  36.5  100.0
1 1 -1  39.9  61.3
1 1 1  40.1  88.0
0 1 2  44.0  91.5
2 0 -1  45.2  47.3
2 0 1  45.5  47.2

Atomic structure:
Unit cell a=4.278 b=3.011 c=5.629 alpha=90.00 beta=90.60 gamma=90.00
Space group Pm (No. 6)
One atom of each set of equivalent atoms:
Mn (0.000, 0.000, 0.000) (multiplicity 1)
Mn (0.243, 0.500, 0.654) (multiplicity 1)
Mn (0.497, 0.500, 0.148) (multiplicity 1)
B (0.026, 0.500, 0.282) (multiplicity 1)
B (0.241, 0.000, 0.352) (multiplicity 1)
B (0.505, 0.000, 0.868) (multiplicity 1)
B (0.726, 0.500, 0.807) (multiplicity 1)
W (0.747, 0.000, 0.502) (multiplicity 1)

No. 2
TbMgSe3: computed powder XRD pattern (Cu Kα, 1.54184 Å), based on a crystal structure in the Materials Project, relaxed with PBE.
Neutral-atom scattering factors, no anomalous dispersion.

Main lines, low angle first (2θ from 15° to 90°):
index  2theta  I/Imax
1 1 -1  16.1  33.5
1 3 0  25.0  45.0
1 3 -1  25.7  40.6
1 1 -2  26.8  47.0
2 2 -1  27.8  58.2
0 0 2  29.2  87.2
1 3 1  32.0  40.2
0 6 0  42.9  40.8
3 3 -2  43.5  100.0
0 6 2  52.8  33.9

Atomic structure:
Unit cell a=7.497 b=12.648 c=6.884 alpha=90.00 beta=117.38 gamma=90.00
Space group C2/m (No. 12)
One atom of each set of equivalent atoms:
Tb (0.196, 0.000, 0.314) (multiplicity 4)
Mg (0.000, 0.335, 0.000) (multiplicity 4)
Se (0.033, 0.500, 0.254) (multiplicity 4)
Se (0.054, 0.171, 0.784) (multiplicity 8)

No. 3
Hf2S: computed powder XRD pattern (Cu Kα, 1.54184 Å), based on a crystal structure in the Materials Project, relaxed with PBE.
Neutral-atom scattering factors, no anomalous dispersion.

Main lines, low angle first (2θ from 15° to 90°):
index  2theta  I/Imax
0 0 4  30.3  23.8
1 0 0  30.5  22.1
1 0 1  31.4  65.6
1 0 3  38.3  100.0
1 0 4  43.5  25.7
1 1 0  54.2  32.5
1 1 4  63.4  21.3
1 0 7  63.7  23.2
2 0 3  68.3  18.6
1 1 6  73.9  17.2

Atomic structure:
Unit cell a=3.3867 b=3.3867 c=11.7874 alpha=90.00 beta=90.00 gamma=120.00
Space group P6_3/mmc (No. 194)
One atom of each set of equivalent atoms:
Hf (0.3333, 0.6667, 0.1005) (multiplicity 4)
S (0.0000, 0.0000, 0.2500) (multiplicity 2)

No. 4
Y4Ga21Ni10: computed powder XRD pattern (Cu Kα, 1.54184 Å), based on a crystal structure in the Materials Project, relaxed with PBE.
Neutral-atom scattering factors, no anomalous dispersion.

Main lines, low angle first (2θ from 15° to 90°):
index  2theta  I/Imax
5 1 -5  37.0  48.1
5 1 1  37.5  74.6
7 1 -2  37.9  45.0
1 1 4  38.1  67.2
7 1 -4  38.2  43.3
8 0 0  41.7  28.0
0 2 0  44.4  100.0
1 1 -6  45.4  51.3
5 1 -7  46.7  37.0
9 1 -6  47.9  26.9

Atomic structure:
Unit cell a=20.872 b=4.079 c=15.507 alpha=90.00 beta=123.76 gamma=90.00
Space group C2/m (No. 12)
One atom of each set of equivalent atoms:
Y (0.120, 0.000, 0.334) (multiplicity 4)
Y (0.230, 0.000, 0.825) (multiplicity 4)
Ga (0.000, 0.500, 0.500) (multiplicity 2)
Ga (0.006, 0.000, 0.090) (multiplicity 4)
Ga (0.039, 0.500, 0.368) (multiplicity 4)
Ga (0.065, 0.000, 0.796) (multiplicity 4)
Ga (0.102, 0.500, 0.997) (multiplicity 4)
Ga (0.114, 0.500, 0.703) (multiplicity 4)
Ga (0.116, 0.000, 0.552) (multiplicity 4)
Ga (0.127, 0.500, 0.196) (multiplicity 4)
Ga (0.202, 0.000, 0.003) (multiplicity 4)
Ga (0.203, 0.500, 0.503) (multiplicity 4)
Ga (0.247, 0.000, 0.294) (multiplicity 4)
Ni (0.001, 0.500, 0.184) (multiplicity 4)
Ni (0.024, 0.000, 0.607) (multiplicity 4)
Ni (0.133, 0.000, 0.105) (multiplicity 4)
Ni (0.153, 0.500, 0.887) (multiplicity 4)
Ni (0.249, 0.000, 0.614) (multiplicity 4)

No. 5
Dy7Te2Ir2: computed powder XRD pattern (Cu Kα, 1.54184 Å), based on a crystal structure in the Materials Project, relaxed with PBE.
Neutral-atom scattering factors, no anomalous dispersion.

Main lines, low angle first (2θ from 15° to 90°):
index  2theta  I/Imax
0 5 1  29.8  17.5
1 1 2  30.0  35.4
0 3 3  33.1  43.0
1 4 1  33.4  100.0
1 3 2  34.1  38.6
1 0 3  36.5  21.5
1 2 3  38.2  27.5
2 0 0  45.9  32.7
2 3 3  57.7  17.6
3 4 1  76.9  13.1

Atomic structure:
Unit cell a=3.955 b=15.831 c=9.455 alpha=90.00 beta=90.00 gamma=90.00
Space group Imm2 (No. 44)
One atom of each set of equivalent atoms:
Dy (0.000, 0.000, 0.000) (multiplicity 2)
Dy (0.000, 0.131, 0.417) (multiplicity 4)
Dy (0.000, 0.316, 0.626) (multiplicity 4)
Dy (0.000, 0.352, 0.266) (multiplicity 4)
Te (0.000, 0.000, 0.664) (multiplicity 2)
Te (0.000, 0.500, 0.763) (multiplicity 2)
Ir (0.000, 0.239, 0.929) (multiplicity 4)